Diffraction record for ZnCSe2N. The X-ray diffraction stick pattern is computed, not measured: it uses the GGA-PBE geometry in Alexandria and λ = 1.5418 Å (Cu Kα).
Intensities are scaled so that the largest is 100.

Largest 6 diffraction maxima, by angle, 10 to 80 degrees two-theta:
2θ 14.12, rel. 14, hkl 1 0 0
2θ 28.45, rel. 100, hkl 2 0 0
2θ 40.68, rel. 37, hkl 2 2 0
2θ 41.86, rel. 57, hkl 1 1 1
2θ 59.79, rel. 39, hkl 3 1 1
2θ 66.67, rel. 16, hkl 4 2 0

Crystal structure
```
data_ZnCSe2N
_symmetry_space_group_name_H-M 'P 4/m m m'
_symmetry_Int_Tables_number 123
_symmetry_space_group_name_Hall '-P 4 2'
_cell_length_a 6.2736
_cell_length_b 6.2736
_cell_length_c 2.4703
_cell_angle_alpha 90.00
_cell_angle_beta 90.00
_cell_angle_gamma 90.00
loop_
_atom_site_label
_atom_site_fract_x
_atom_site_fract_y
_atom_site_fract_z
_atom_site_occupancy
Zn1 0.0000 0.0000 0.0000 1
C1 0.5000 0.5000 0.5000 1
Se1 0.0000 0.5000 0.5000 1
N1 0.5000 0.5000 0.0000 1
```